Starting from a PBE-relaxed structure, the powder X-ray diffraction pattern of KIn3Au was simulated for Cu Kα (λ = 1.5418 Å).
Peak positions follow from Bragg's law for the DFT cell and can differ from measured ones.

The 10 most intense peaks (10 to 80 degrees two-theta), in order of rising 2θ:
| index | 2θ/deg | Rel. int. |
| --- | --- | --- |
| 0 0 2 | 14.2 | 400 |
| 1 1 1 | 19.9 | 1000 |
| 1 1 3 | 28.4 | 439 |
| 0 2 2 | 29.9 | 482 |
| 2 0 2 | 30.1 | 474 |
| 2 2 0 | 37.6 | 835 |
| 0 2 4 | 39.2 | 504 |
| 2 0 4 | 39.4 | 499 |
| 1 1 5 | 40.8 | 439 |
| 2 4 4 | 68.8 | 191 |

Cell and atoms:
abc: 6.7400 6.7963 12.4674
angles: 90.00 90.00 90.00
Space group Fmm2 (No. 42)
One atom of each set of equivalent atoms:
K: 0.0000 0.0000 0.0000 x4
In: 0.0000 0.0000 0.3923 x4
In: 0.2500 0.2500 0.2379 x8
Au: 0.0000 0.0000 0.6134 x4